Entry 1:
Pm4In3Hg: computed powder X-ray diffraction pattern (λ = 1.5418 Å (Cu Kα)), based on a crystal structure in Alexandria, relaxed with PBE.
Intensities are scaled so that the largest is 100.

Main lines, by angle (10 to 90 degrees two-theta):
2θ/deg  I (rel.)
32.36  100.0
34.97  40.7
42.28  11.9
50.29  14.4
55.99  20.8
61.08  32.0
67.74  11.7
71.07  10.1

Crystal structure
Cell lengths 3.6285, 3.6285, 17.1009 Å; angles 90.00, 90.00, 90.00 degrees
Space group P4/mmm (No. 123)
Symmetry-distinct sites (fractional):
Pm 0.0000 0.0000 0.1233 [2 per cell]
Pm 0.0000 0.0000 0.3746 [2 per cell]
In 0.5000 0.5000 0.2478 [2 per cell]
In 0.5000 0.5000 0.5000 [1 per cell]
Hg 0.5000 0.5000 0.0000 [1 per cell]

***

Entry 2:
Ac2Ho3Tl4: computed powder X-ray diffraction pattern (λ = 1.5418 Å (Cu Kα)), based on a crystal structure in Alexandria, relaxed with PBE.
Intensities are scaled so that the largest is 100.

Main lines, by angle (10 to 90 degrees two-theta):
2θ/deg  I (rel.)
28.34  61.1
30.15  76.3
30.91  45.9
31.38  100.0
32.14  27.8
32.46  29.1
46.80  27.9
50.10  21.6

Crystal structure
Cell lengths 7.2612, 17.3495, 9.2045 Å; angles 90.00, 90.00, 90.00 degrees
Space group Cmce (No. 64)
Symmetry-distinct sites (fractional):
Ac 0.0000 0.1108 0.0796 [8 per cell]
Ho 0.0000 0.0000 0.5000 [4 per cell]
Ho 0.2500 0.2163 0.7500 [8 per cell]
Tl 0.0000 0.1837 0.4583 [8 per cell]
Tl 0.2500 0.0402 0.7500 [8 per cell]

***

Entry 3:
Ce2Dy5Sb4: computed powder X-ray diffraction pattern (λ = 1.5418 Å (Cu Kα)), based on a crystal structure in Alexandria, relaxed with PBE.
Intensities are scaled so that the largest is 100.

Main lines, by angle (10 to 90 degrees two-theta):
2θ/deg  I (rel.)
21.88  42.9
25.25  100.0
29.67  91.6
31.97  38.9
32.76  91.4
36.51  99.0
43.76  52.4
53.76  39.5

Crystal structure
Cell lengths 22.0988, 4.1370, 7.9484 Å; angles 90.00, 104.11, 90.00 degrees
Space group C2/m (No. 12)
Symmetry-distinct sites (fractional):
Ce 0.0494 0.0000 0.1333 [4 per cell]
Dy 0.0000 0.5000 0.5000 [2 per cell]
Dy 0.1941 0.0000 0.6138 [4 per cell]
Dy 0.1952 0.0000 0.0660 [4 per cell]
Sb 0.0769 0.0000 0.7599 [4 per cell]
Sb 0.1548 0.5000 0.3227 [4 per cell]

***

Entry 4:
Er7RuSe5: computed powder X-ray diffraction pattern (λ = 1.5418 Å (Cu Kα)), based on a crystal structure in Alexandria, relaxed with PBE.
Intensities are scaled so that the largest is 100.

Main lines, by angle (10 to 90 degrees two-theta):
2θ/deg  I (rel.)
28.95  73.8
30.72  33.0
31.38  100.0
32.33  43.4
32.47  61.7
41.14  50.6
46.50  36.6
55.72  30.7

Crystal structure
Cell lengths 3.9057, 13.3121, 24.3646 Å; angles 90.00, 90.00, 90.00 degrees
Space group Cmc2_1 (No. 36)
Symmetry-distinct sites (fractional):
Er 0.0000 0.0443 0.0000 [4 per cell]
Er 0.0000 0.1328 0.7175 [4 per cell]
Er 0.0000 0.1458 0.2908 [4 per cell]
Er 0.0000 0.2861 0.9342 [4 per cell]
Er 0.0000 0.3059 0.0685 [4 per cell]
Er 0.0000 0.3925 0.6209 [4 per cell]
Er 0.0000 0.4196 0.3659 [4 per cell]
Ru 0.0000 0.3096 0.5107 [4 per cell]
Se 0.0000 0.0478 0.6118 [4 per cell]
Se 0.0000 0.0641 0.3961 [4 per cell]
Se 0.0000 0.2145 0.8240 [4 per cell]
Se 0.0000 0.2273 0.1807 [4 per cell]
Se 0.0000 0.4919 0.7521 [4 per cell]

***

Entry 5:
ErMg4Ga15: computed powder X-ray diffraction pattern (λ = 1.5418 Å (Cu Kα)), based on a crystal structure in Alexandria, relaxed with PBE.
Intensities are scaled so that the largest is 100.

Main lines, by angle (10 to 90 degrees two-theta):
2θ/deg  I (rel.)
21.52  4.2
22.74  3.7
24.65  2.8
36.97  100.0
42.95  48.8
62.36  31.0
74.76  35.5
78.71  10.2

Crystal structure
Cell lengths 4.2119, 4.2119, 21.0543 Å; angles 90.00, 90.00, 90.00 degrees
Space group P4/mmm (No. 123)
Symmetry-distinct sites (fractional):
Er 0.0000 0.0000 0.0000 [1 per cell]
Mg 0.0000 0.0000 0.2012 [2 per cell]
Mg 0.0000 0.0000 0.3996 [2 per cell]
Ga 0.0000 0.5000 0.1042 [4 per cell]
Ga 0.0000 0.5000 0.3005 [4 per cell]
Ga 0.0000 0.5000 0.5000 [2 per cell]
Ga 0.5000 0.5000 0.0000 [1 per cell]
Ga 0.5000 0.5000 0.2033 [2 per cell]
Ga 0.5000 0.5000 0.4006 [2 per cell]

***

Entry 6:
Th3CI3: computed powder X-ray diffraction pattern (λ = 1.5418 Å (Cu Kα)), based on a crystal structure in Alexandria, relaxed with PBE.
Intensities are scaled so that the largest is 100.

Main lines, by angle (10 to 90 degrees two-theta):
2θ/deg  I (rel.)
28.82  23.4
29.39  24.0
29.68  46.2
30.21  100.0
32.12  52.8
33.29  22.4
33.51  26.7
42.10  25.8

Crystal structure
Cell lengths 9.2018, 3.8656, 12.0565 Å; angles 90.00, 92.99, 90.00 degrees
Space group P2_1/m (No. 11)
Symmetry-distinct sites (fractional):
Th 0.0905 0.2500 0.3962 [2 per cell]
Th 0.1119 0.2500 0.8241 [2 per cell]
Th 0.2922 0.7500 0.6142 [2 per cell]
C 0.1056 0.2500 0.6116 [2 per cell]
I 0.1552 0.2500 0.1178 [2 per cell]
I 0.3825 0.7500 0.8763 [2 per cell]
I 0.3966 0.7500 0.3587 [2 per cell]